1.
This entry pairs a crystal structure of Tb5In2O2 with its simulated powder XRD pattern. Radiation: copper Kα. Structure: a crystal structure in Alexandria, relaxed with GGA-PBE.
Intensities are scaled so that the largest is 100.

Cell and atoms:
abc: 6.7949 18.7552 6.8478
angles: 90.00 90.00 90.00
Space group Imma (No. 74)
Inequivalent atoms, fractional coordinates:
Tb 0.0000 0.1365 0.0589 (multiplicity 8)
Tb 0.2500 0.0082 0.7500 (multiplicity 8)
Tb 0.2500 0.2500 0.7500 (multiplicity 4)
In 0.0000 0.1245 0.5175 (multiplicity 8)
O 0.0000 0.0000 0.0000 (multiplicity 4)
O 0.0000 0.2500 0.9712 (multiplicity 4)

Peak list (6 most intense, 2θ = 10–80°, sorted by position)
2.765 Å, I 80.4
2.751 Å, I 100.0
2.412 Å, I 65.5
2.344 Å, I 30.9
1.681 Å, I 37.3
1.447 Å, I 22.4

***

2.
This entry pairs a crystal structure of Tb4In2O with its simulated powder XRD pattern. Radiation: copper Kα. Structure: a crystal structure in Alexandria, relaxed with GGA-PBE.
Intensities are scaled so that the largest is 100.

Cell and atoms:
abc: 6.4045 6.8814 9.1208
angles: 90.00 110.35 90.00
Space group P2_1/m (No. 11)
Inequivalent atoms, fractional coordinates:
Tb 0.0427 0.0012 0.2800 (multiplicity 4)
Tb 0.3643 0.7500 0.0478 (multiplicity 2)
Tb 0.4202 0.7500 0.6496 (multiplicity 2)
In 0.1930 0.2500 0.0253 (multiplicity 2)
In 0.3160 0.2500 0.5909 (multiplicity 2)
O 0.1970 0.7500 0.7910 (multiplicity 2)

Peak list (6 most intense, 2θ = 10–80°, sorted by position)
3.022 Å, I 31.7
2.996 Å, I 58.4
2.985 Å, I 61.7
2.850 Å, I 25.0
2.749 Å, I 27.8
2.677 Å, I 100.0

***

3.
This entry pairs a crystal structure of Tb6In3O2 with its simulated powder XRD pattern. Radiation: copper Kα. Structure: a crystal structure in Alexandria, relaxed with GGA-PBE.
Intensities are scaled so that the largest is 100.

Cell and atoms:
abc: 4.7108 4.7108 24.9577
angles: 90.00 90.00 90.00
Space group I4/mmm (No. 139)
Inequivalent atoms, fractional coordinates:
Tb 0.0000 0.0000 0.1958 (multiplicity 4)
Tb 0.0000 0.5000 0.0854 (multiplicity 8)
In 0.0000 0.0000 0.3242 (multiplicity 4)
In 0.0000 0.0000 0.5000 (multiplicity 2)
O 0.0000 0.0000 0.1014 (multiplicity 4)

Peak list (6 most intense, 2θ = 10–80°, sorted by position)
3.218 Å, I 46.9
2.939 Å, I 21.8
2.600 Å, I 100.0
2.355 Å, I 56.9
1.666 Å, I 19.4
1.402 Å, I 32.5

***

4.
This entry pairs a crystal structure of Tb4In2O with its simulated powder XRD pattern. Radiation: copper Kα. Structure: a crystal structure in Alexandria, relaxed with GGA-PBE.
Intensities are scaled so that the largest is 100.

Cell and atoms:
abc: 4.6690 4.6690 16.4964
angles: 90.00 90.00 90.00
Space group I4/mmm (No. 139)
Inequivalent atoms, fractional coordinates:
Tb 0.0000 0.0000 0.1701 (multiplicity 4)
Tb 0.0000 0.5000 0.0000 (multiplicity 4)
In 0.0000 0.0000 0.3616 (multiplicity 4)
O 0.0000 0.0000 0.0000 (multiplicity 2)

Peak list (6 most intense, 2θ = 10–80°, sorted by position)
3.065 Å, I 96.0
2.749 Å, I 40.3
2.577 Å, I 100.0
2.334 Å, I 68.7
1.780 Å, I 44.4
1.390 Å, I 29.2

***

5.
This entry pairs a crystal structure of TbIn2TeO8 with its simulated powder XRD pattern. Radiation: copper Kα. Structure: a crystal structure in Alexandria, relaxed with GGA-PBE.
Intensities are scaled so that the largest is 100.

Cell and atoms:
abc: 6.8865 6.9637 6.8032
angles: 90.00 90.00 90.00
Space group Cmmm (No. 65)
Inequivalent atoms, fractional coordinates:
Tb 0.0000 0.0000 0.0000 (multiplicity 2)
In 0.0000 0.5000 0.2590 (multiplicity 4)
Te 0.0000 0.0000 0.5000 (multiplicity 2)
O 0.0000 0.1853 0.2848 (multiplicity 8)
O 0.1814 0.5000 0.0000 (multiplicity 4)
O 0.2137 0.5000 0.5000 (multiplicity 4)

Peak list (6 most intense, 2θ = 10–80°, sorted by position)
3.482 Å, I 59.1
3.443 Å, I 56.1
2.794 Å, I 100.0
2.448 Å, I 27.8
1.847 Å, I 40.1
1.835 Å, I 38.5

***

6.
This entry pairs a crystal structure of Tb4TlInO with its simulated powder XRD pattern. Radiation: copper Kα. Structure: a crystal structure in Alexandria, relaxed with GGA-PBE.
Intensities are scaled so that the largest is 100.

Cell and atoms:
abc: 6.6009 16.5043 6.6013
angles: 90.00 90.00 90.00
Space group Cmcm (No. 63)
Inequivalent atoms, fractional coordinates:
Tb 0.0000 0.0790 0.2500 (multiplicity 4)
Tb 0.0000 0.4208 0.2500 (multiplicity 4)
Tb 0.2500 0.2500 0.0000 (multiplicity 8)
Tl 0.0000 0.1107 0.7500 (multiplicity 4)
In 0.0000 0.3884 0.7500 (multiplicity 4)
O 0.0000 0.2488 0.2500 (multiplicity 4)

Peak list (6 most intense, 2θ = 10–80°, sorted by position)
3.065 Å, I 83.9
2.751 Å, I 36.8
2.577 Å, I 100.0
2.334 Å, I 67.0
1.780 Å, I 40.7
1.390 Å, I 29.7

***

Please write out number 5 again, unchanged.
This entry pairs a crystal structure of TbIn2TeO8 with its simulated powder XRD pattern. Radiation: copper Kα. Structure: a crystal structure in Alexandria, relaxed with GGA-PBE.
Intensities are scaled so that the largest is 100.

Cell and atoms:
abc: 6.8865 6.9637 6.8032
angles: 90.00 90.00 90.00
Space group Cmmm (No. 65)
Inequivalent atoms, fractional coordinates:
Tb 0.0000 0.0000 0.0000 (multiplicity 2)
In 0.0000 0.5000 0.2590 (multiplicity 4)
Te 0.0000 0.0000 0.5000 (multiplicity 2)
O 0.0000 0.1853 0.2848 (multiplicity 8)
O 0.1814 0.5000 0.0000 (multiplicity 4)
O 0.2137 0.5000 0.5000 (multiplicity 4)

Peak list (6 most intense, 2θ = 10–80°, sorted by position)
3.482 Å, I 59.1
3.443 Å, I 56.1
2.794 Å, I 100.0
2.448 Å, I 27.8
1.847 Å, I 40.1
1.835 Å, I 38.5

***

Which formula does entry 2 have? Tb4In2O